Theoretical powder diffractogram
Compound: Mg14CoNi
Radiation: Cu Kα (weighted mean of Kα1 and Kα2)
Structure: a cell relaxed with GGA-PBE

Atomic structure:
```
16
Lattice="6.182 0.000 0.000 -3.091 5.354 0.000 0.000 0.000 9.744" Properties=species:S:1:pos:R:3 pbc="T T T"
Mg 0.000 0.000 2.438
Mg 0.000 0.000 7.307
Mg -1.462 2.725 2.437
Mg -1.462 2.725 7.308
Mg 1.544 0.892 0.000
Mg 1.547 0.893 4.872
Mg 1.462 2.725 2.437
Mg 1.462 2.725 7.308
Mg 0.000 5.257 2.437
Mg 0.000 5.257 7.308
Mg 4.638 0.892 0.000
Mg 4.635 0.893 4.872
Mg 3.091 3.567 4.872
Mg 3.091 3.571 0.000
Co 0.000 3.569 4.872
Ni 0.000 3.569 0.000
```

Largest 8 diffraction maxima, sorted by position, 10° ≤ 2θ ≤ 90°:
2θ (°)	d_spacing	intensity	hkl
16.6	5.354	174	1 0 0
33.5	2.677	262	2 0 0
36.9	2.436	249	0 0 4
38.4	2.346	1000	2 0 2
50.7	1.802	154	2 0 4
59.8	1.546	165	2 2 0
67.5	1.389	173	2 0 6
72.4	1.305	179	2 2 4